For BaNdCr4O12, a cell relaxed with PBE+U gives the simulated powder diffraction line list in this record (Cu Kα).

Top 8 peaks for 5 to 70 degrees two-theta, by angle:
hkl 1 0 1, 2θ = 20.1°, intensity 100
hkl 2 0 0, 2θ = 32.8°, intensity 35
hkl 1 1 2, 2θ = 33.2°, intensity 67
hkl 2 1 1, 2θ = 38.7°, intensity 37
hkl 1 0 3, 2θ = 39.5°, intensity 17
hkl 2 2 0, 2θ = 47.0°, intensity 30
hkl 3 1 2, 2θ = 58.8°, intensity 26
hkl 2 2 4, 2θ = 69.7°, intensity 16

Structural model:
Cell lengths 5.4674, 5.4674, 7.5340 Å; angles 90.00, 90.00, 90.00 degrees
Element x y z (fractional)
Ba1 0.0000 0.0000 0.0000
Nd1 0.5000 0.5000 0.5000
Cr1 0.0000 0.5000 0.2496
Cr2 0.0000 0.5000 0.7504
Cr3 0.5000 0.0000 0.2496
Cr4 0.5000 0.0000 0.7504
O1 0.0000 0.5000 0.0000
O2 0.0000 0.5000 0.5000
O3 0.2597 0.2597 0.2630
O4 0.2597 0.2597 0.7370
O5 0.2597 0.7403 0.2630
O6 0.2597 0.7403 0.7370
O7 0.5000 0.0000 0.0000
O8 0.5000 0.0000 0.5000
O9 0.7403 0.2597 0.2630
O10 0.7403 0.2597 0.7370
O11 0.7403 0.7403 0.2630
O12 0.7403 0.7403 0.7370